(1)
Theoretical powder diffractogram of Pm3MgSn2 for Cu Kα X-rays, from a structure optimized by DFT (PBE).

Atomic structure:
Cell lengths 6.5427, 16.8947, 6.4230 Å; angles 90.00, 90.00, 90.00 degrees
Space group Ibam (No. 72)
Unique sites:
Pm: 0.0000 0.0000 0.2500
Pm: 0.2466 0.3234 0.0000
Mg: 0.0000 0.5000 0.2500
Sn: 0.2444 0.3667 0.5000

Top 10 peaks for 2θ from 10° to 90°, in order of rising 2θ:
| d [Å] | intensity |
| --- | --- |
| 3.271 | 34 |
| 3.106 | 50 |
| 3.051 | 62 |
| 3.002 | 65 |
| 2.816 | 48 |
| 2.586 | 67 |
| 2.556 | 65 |
| 2.399 | 52 |
| 2.292 | 100 |
| 1.777 | 53 |

(2)
Theoretical powder diffractogram of Pm3Mg2Sn4 for Cu Kα X-rays, from a structure optimized by DFT (PBE).

Atomic structure:
Cell lengths 12.3738, 4.6170, 9.3765 Å; angles 90.00, 113.43, 90.00 degrees
Space group C2/m (No. 12)
Unique sites:
Pm: 0.0000 0.0000 0.0000
Pm: 0.1256 0.5000 0.6914
Mg: 0.1874 0.5000 0.3570
Sn: 0.0731 0.0000 0.3917
Sn: 0.2054 0.5000 0.0643

Top 10 peaks for 2θ from 10° to 90°, in order of rising 2θ:
| d [Å] | intensity |
| --- | --- |
| 5.949 | 28 |
| 3.104 | 43 |
| 3.074 | 97 |
| 2.927 | 97 |
| 2.867 | 55 |
| 2.828 | 100 |
| 2.461 | 84 |
| 2.308 | 61 |
| 2.026 | 51 |
| 1.798 | 25 |

(3)
Theoretical powder diffractogram of Pm3MgSn3 for Cu Kα X-rays, from a structure optimized by DFT (PBE).

Atomic structure:
Cell lengths 8.1136, 10.4123, 9.6327 Å; angles 90.00, 90.48, 90.00 degrees
Space group C2/m (No. 12)
Unique sites:
Pm: 0.0000 0.1901 0.0000
Pm: 0.0000 0.2174 0.5000
Pm: 0.1014 0.5000 0.7972
Mg: 0.1981 0.5000 0.4634
Sn: 0.0050 0.0000 0.2622
Sn: 0.2311 0.2933 0.2426

Top 10 peaks for 2θ from 10° to 90°, in order of rising 2θ:
| d [Å] | intensity |
| --- | --- |
| 3.535 | 27 |
| 3.090 | 28 |
| 3.028 | 56 |
| 2.673 | 100 |
| 2.658 | 62 |
| 2.656 | 23 |
| 2.618 | 17 |
| 2.603 | 25 |
| 2.408 | 39 |
| 1.766 | 19 |

(4)
Theoretical powder diffractogram of Pm4Mg2Sn for Cu Kα X-rays, from a structure optimized by DFT (PBE).

Atomic structure:
Cell lengths 7.6853, 7.6853, 7.5140 Å; angles 90.00, 90.00, 90.00 degrees
Space group I4/mmm (No. 139)
Unique sites:
Pm: 0.2500 0.2500 0.2500
Mg: 0.0000 0.5000 0.0000
Sn: 0.0000 0.0000 0.0000

Top 10 peaks for 2θ from 10° to 90°, in order of rising 2θ:
| d [Å] | intensity |
| --- | --- |
| 5.373 | 14 |
| 3.843 | 38 |
| 3.757 | 18 |
| 2.717 | 52 |
| 2.686 | 100 |
| 2.202 | 17 |
| 1.921 | 19 |
| 1.563 | 39 |
| 1.545 | 19 |
| 1.343 | 12 |

(5)
Theoretical powder diffractogram of Pm5MgSn2 for Cu Kα X-rays, from a structure optimized by DFT (PBE).

Atomic structure:
Cell lengths 4.5942, 11.3143, 18.3227 Å; angles 90.00, 90.00, 90.00 degrees
Space group Cmcm (No. 63)
Unique sites:
Pm: 0.0000 0.0372 0.0978
Pm: 0.0000 0.3321 0.0444
Pm: 0.0000 0.4409 0.2500
Mg: 0.0000 0.1588 0.2500
Sn: 0.0000 0.2621 0.6522

Top 10 peaks for 2θ from 10° to 90°, in order of rising 2θ:
| d [Å] | intensity |
| --- | --- |
| 3.118 | 43 |
| 3.076 | 17 |
| 2.915 | 27 |
| 2.879 | 43 |
| 2.777 | 100 |
| 2.687 | 25 |
| 2.567 | 27 |
| 2.297 | 30 |
| 1.745 | 23 |
| 1.604 | 21 |

(6)
Theoretical powder diffractogram of Pm2MgSn for Cu Kα X-rays, from a structure optimized by DFT (PBE).

Atomic structure:
Cell lengths 5.0097, 5.0097, 4.4628 Å; angles 90.00, 90.00, 90.00 degrees
Space group P4/mmm (No. 123)
Unique sites:
Pm: 0.0000 0.5000 0.0000
Mg: 0.0000 0.0000 0.5000
Sn: 0.5000 0.5000 0.5000

Top 10 peaks for 2θ from 10° to 90°, in order of rising 2θ:
| d [Å] | intensity |
| --- | --- |
| 5.010 | 10 |
| 3.542 | 11 |
| 2.775 | 100 |
| 2.505 | 38 |
| 2.231 | 14 |
| 1.771 | 13 |
| 1.666 | 22 |
| 1.493 | 31 |
| 1.387 | 12 |
| 1.372 | 12 |

(7)
Theoretical powder diffractogram of SrPm4Mg5 for Cu Kα X-rays, from a structure optimized by DFT (PBE).

Atomic structure:
Cell lengths 3.9111, 3.9111, 19.7982 Å; angles 90.00, 90.00, 90.00 degrees
Space group P4/mmm (No. 123)
Unique sites:
Sr: 0.0000 0.0000 0.0000
Pm: 0.0000 0.0000 0.2132
Pm: 0.0000 0.0000 0.4038
Mg: 0.5000 0.5000 0.1165
Mg: 0.5000 0.5000 0.3076
Mg: 0.5000 0.5000 0.5000

Top 10 peaks for 2θ from 10° to 90°, in order of rising 2θ:
| d [Å] | intensity |
| --- | --- |
| 3.960 | 29 |
| 3.911 | 60 |
| 2.783 | 100 |
| 2.766 | 54 |
| 2.267 | 26 |
| 1.956 | 20 |
| 1.753 | 12 |
| 1.749 | 13 |
| 1.610 | 15 |
| 1.600 | 37 |

(8)
Theoretical powder diffractogram of SrPmMgTl for Cu Kα X-rays, from a structure optimized by DFT (PBE).

Atomic structure:
Cell lengths 3.9830, 3.9830, 8.0777 Å; angles 90.00, 90.00, 90.00 degrees
Space group P4mm (No. 99)
Unique sites:
Sr: 0.0000 0.0000 0.0000
Pm: 0.0000 0.0000 0.4952
Mg: 0.5000 0.5000 0.7221
Tl: 0.5000 0.5000 0.2695

Top 10 peaks for 2θ from 10° to 90°, in order of rising 2θ:
| d [Å] | intensity |
| --- | --- |
| 8.078 | 53 |
| 3.572 | 25 |
| 2.836 | 100 |
| 2.816 | 51 |
| 2.659 | 16 |
| 2.231 | 13 |
| 1.991 | 19 |
| 1.641 | 18 |
| 1.630 | 39 |
| 1.418 | 11 |